# 1
Calculated powder X-ray diffraction pattern
Compound: BaAg2HgCl8
Radiation: Cu Kα (weighted mean of Kα1 and Kα2)
Structure: the GGA-PBE geometry in Alexandria

Main lines, most intense first (2θ = 15–90°):
Position (°2θ)	intensity
22.2	100
42.5	70
26.9	41
25.1	32
37.1	28
58.6	23
35.7	21
45.3	20
44.8	18
65.1	15
28.9	13
58.1	11

Structural model:
Cell lengths 7.106, 7.106, 13.273 Å; angles 90.00, 90.00, 90.00 degrees
Space group I-4 (No. 82)
Inequivalent atoms, fractional coordinates:
Ba 0.000 0.000 0.000 (multiplicity 2)
Ag 0.000 0.000 0.500 (multiplicity 2)
Ag 0.000 0.500 0.750 (multiplicity 2)
Hg 0.000 0.500 0.250 (multiplicity 2)
Cl 0.088 0.318 0.480 (multiplicity 8)
Cl 0.178 0.181 0.212 (multiplicity 8)



# 2
Calculated powder X-ray diffraction pattern
Compound: RbScRe3
Radiation: Cu Kα (weighted mean of Kα1 and Kα2)
Structure: the GGA-PBE geometry in Alexandria

Main lines, most intense first (2θ = 15–90°):
Position (°2θ)	intensity
31.8	100
36.8	67
53.1	47
63.2	43
89.9	22
87.1	19
18.2	17
66.4	16
41.4	8
78.4	8
56.6	4
81.3	2

Structural model:
Cell lengths 4.878, 4.878, 4.878 Å; angles 90.00, 90.00, 90.00 degrees
Space group Pm-3m (No. 221)
Inequivalent atoms, fractional coordinates:
Rb 0.000 0.000 0.000 (multiplicity 1)
Sc 0.500 0.500 0.500 (multiplicity 1)
Re 0.000 0.500 0.500 (multiplicity 3)



# 3
Calculated powder X-ray diffraction pattern
Compound: Na3Tl3In4
Radiation: Cu Kα (weighted mean of Kα1 and Kα2)
Structure: the GGA-PBE geometry in Alexandria

Main lines, most intense first (2θ = 15–90°):
Position (°2θ)	intensity
32.5	100
32.7	74
32.0	28
30.9	28
20.0	26
31.8	23
40.7	16
47.7	15
61.6	15
36.3	14
48.7	14
79.2	13

Structural model:
Cell lengths 3.810, 12.632, 12.465 Å; angles 90.00, 90.00, 90.00 degrees
Space group Amm2 (No. 38)
Inequivalent atoms, fractional coordinates:
Na 0.000 0.000 0.000 (multiplicity 2)
Na 0.500 0.244 0.579 (multiplicity 4)
Tl 0.000 0.000 0.656 (multiplicity 2)
Tl 0.000 0.174 0.325 (multiplicity 4)
In 0.500 0.000 0.202 (multiplicity 2)
In 0.500 0.000 0.453 (multiplicity 2)
In 0.500 0.127 0.829 (multiplicity 4)